This entry pairs a crystal structure of LaTe2 with its theoretical X-ray diffraction stick pattern. Radiation: Cu Kα (weighted mean of Kα1 and Kα2). Structure: a crystal structure in the Materials Project, relaxed with PBE.

Principal peaks in the range 2θ from 5° to 70°, by angle:
- hkl 2 0 2, 27.4°, I = 16
- hkl 2 2 0, 27.6°, I = 22
- hkl 0 0 3, 28.9°, I = 41
- hkl 2 2 1, 29.2°, I = 100
- hkl 2 2 2, 33.8°, I = 95
- hkl 2 0 3, 35.1°, I = 47
- hkl 4 0 0, 39.4°, I = 64
- hkl 4 0 3, 49.6°, I = 35
- hkl 4 2 3, 53.8°, I = 27
- hkl 4 4 0, 56.9°, I = 21
- hkl 6 2 1, 65.3°, I = 20
- hkl 6 2 2, 67.9°, I = 23

Cell and atoms:
```
data_LaTe2
_chemical_formula_sum 'La8 Te16'
_space_group_name_H-M_alt 'P 4 b m'
_space_group_IT_number 100
_cell_length_a 9.1482
_cell_length_b 9.1482
_cell_length_c 9.2646
_cell_angle_alpha 90.00
_cell_angle_beta 90.00
_cell_angle_gamma 90.00
loop_
_space_group_symop_operation_xyz
'x,y,z'
'-y,x,z'
'-x,-y,z'
'y,-x,z'
'-x+1/2,y+1/2,z'
'y+1/2,x+1/2,z'
'x+1/2,-y+1/2,z'
'-y+1/2,-x+1/2,z'
loop_
_atom_site_label
_atom_site_fract_x
_atom_site_fract_y
_atom_site_fract_z
La1 0.0000 0.0000 0.0000
La2 0.0000 0.5000 0.0010
La3 0.2432 0.2568 0.5475
Te1 0.0000 0.0000 0.6403
Te2 0.0000 0.5000 0.6407
Te3 0.0142 0.7481 0.2741
Te4 0.2502 0.2498 0.9076
```

---

This entry pairs a crystal structure of LaTe3 with its theoretical X-ray diffraction stick pattern. Radiation: Cu Kα (weighted mean of Kα1 and Kα2). Structure: a crystal structure in the Materials Project, relaxed with PBE.

Principal peaks in the range 2θ from 5° to 70°, by angle:
- hkl 0 4 0, 10.0°, I = 52
- hkl 0 8 0, 20.2°, I = 59
- hkl 0 8 1, 29.1°, I = 32
- hkl 1 1 1, 29.6°, I = 100
- hkl 0 12 0, 30.5°, I = 45
- hkl 1 9 0, 31.0°, I = 18
- hkl 1 7 1, 34.6°, I = 30
- hkl 1 11 0, 35.0°, I = 27
- hkl 0 12 1, 37.1°, I = 17
- hkl 1 9 1, 37.6°, I = 19
- hkl 0 0 2, 42.2°, I = 22
- hkl 2 0 0, 42.3°, I = 22

Cell and atoms:
```
data_LaTe3
_chemical_formula_sum 'La4 Te12'
_space_group_name_H-M_alt 'C m c m'
_space_group_IT_number 63
_space_group_name_Hall '-C 2c 2'
_cell_length_a 4.2757
_cell_length_b 35.2268
_cell_length_c 4.2872
_cell_angle_alpha 90.00
_cell_angle_beta 90.00
_cell_angle_gamma 90.00
loop_
_atom_site_label
_atom_site_fract_x
_atom_site_fract_y
_atom_site_fract_z
La1 0.0000 0.0901 0.2500
Te1 0.0000 0.1812 0.2500
Te2 0.0000 0.3328 0.2500
Te3 0.0000 0.4474 0.2500
```

---

This entry pairs a crystal structure of LaTe with its theoretical X-ray diffraction stick pattern. Radiation: Cu Kα (weighted mean of Kα1 and Kα2). Structure: a crystal structure in the Materials Project, relaxed with PBE.

Principal peaks in the range 2θ from 5° to 70°, by angle:
- hkl 1 1 0, 32.2°, I = 100
- hkl 2 0 0, 46.1°, I = 18
- hkl 2 1 1, 57.3°, I = 38
- hkl 2 2 0, 67.3°, I = 12

Cell and atoms:
```
data_LaTe
_chemical_formula_sum 'La1 Te1'
_space_group_name_H-M_alt 'P m -3 m'
_space_group_IT_number 221
_space_group_name_Hall '-P 4 2 3'
_cell_length_a 3.9361
_cell_length_b 3.9361
_cell_length_c 3.9361
_cell_angle_alpha 90.00
_cell_angle_beta 90.00
_cell_angle_gamma 90.00
loop_
_atom_site_label
_atom_site_fract_x
_atom_site_fract_y
_atom_site_fract_z
La1 0.0000 0.0000 0.0000
Te1 0.5000 0.5000 0.5000
```